# 1
Starting from a structure optimized by DFT (PBE), the powder X-ray diffraction pattern of Ac3Al2GePt9 was calculated for Cu Kα X-rays.
Intensities are scaled so that the largest is 100.

Peak list (6 most intense, 2θ from 15° to 90°, low angle first)
| Position (°2θ) | I_rel | h k l |
| --- | --- | --- |
| 30.7 | 29 | 0 0 3 |
| 32.7 | 100 | 0 2 1 |
| 37.3 | 86 | 2 0 2 |
| 52.5 | 21 | 0 2 4 |
| 55.1 | 25 | 2 2 0 |
| 64.4 | 18 | 2 2 3 |

Crystal structure
```
data_Ac3Al2GePt9
_chemical_formula_sum 'Ac3 Al2 Ge1 Pt9'
_cell_length_a 6.6654
_cell_length_b 6.6654
_cell_length_c 8.7425
_cell_angle_alpha 90.00
_cell_angle_beta 90.00
_cell_angle_gamma 120.00
_space_group_name_H-M_alt 'P -3 m 1'
_space_group_IT_number 164
_space_group_name_Hall '-P 3 2"'
loop_
_atom_site_label
_atom_site_type_symbol
_atom_site_fract_x
_atom_site_fract_y
_atom_site_fract_z
_atom_site_occupancy
Ac1 Ac 0.0000 0.0000 0.0000 1
Ac2 Ac 0.3333 0.6667 0.6859 1
Al1 Al 0.3333 0.6667 0.1864 1
Ge1 Ge 0.0000 0.0000 0.5000 1
Pt1 Pt 0.0000 0.5000 0.0000 1
Pt2 Pt 0.1423 0.2846 0.2885 1
```



# 2
Starting from a structure optimized by DFT (PBE), the powder X-ray diffraction pattern of CrTcAuI was calculated for Cu Kα X-rays.
Intensities are scaled so that the largest is 100.

Peak list (6 most intense, 2θ from 15° to 90°, low angle first)
| Position (°2θ) | I_rel | h k l |
| --- | --- | --- |
| 24.9 | 63 | 0 1 -1 |
| 27.8 | 62 | 1 1 0 |
| 29.6 | 70 | 0 0 2 |
| 39.7 | 63 | 1 1 2 |
| 40.8 | 100 | 1 -1 1 |
| 40.9 | 50 | 0 2 1 |

Crystal structure
```
data_CrTcAuI
_chemical_formula_sum 'Cr1 Tc1 Au1 I1'
_cell_length_a 3.511
_cell_length_b 4.873
_cell_length_c 6.055
_cell_angle_alpha 86.19
_cell_angle_beta 87.44
_cell_angle_gamma 72.26
_space_group_name_H-M_alt 'P 1'
_space_group_IT_number 1
_space_group_name_Hall 'P 1'
loop_
_atom_site_label
_atom_site_type_symbol
_atom_site_fract_x
_atom_site_fract_y
_atom_site_fract_z
_atom_site_occupancy
Cr1 Cr 0.000 0.000 0.000 1
Tc1 Tc 0.401 0.145 0.765 1
Au1 Au 0.700 0.565 0.885 1
I1 I 0.487 0.893 0.366 1
```



# 3
Starting from a structure optimized by DFT (PBE), the powder X-ray diffraction pattern of Li5Al3 was calculated for Cu Kα X-rays.
Intensities are scaled so that the largest is 100.

Peak list (6 most intense, 2θ from 15° to 90°, low angle first)
| Position (°2θ) | I_rel | h k l |
| --- | --- | --- |
| 23.7 | 45 | 0 0 2 |
| 26.3 | 70 | 1 3 0 |
| 26.7 | 58 | 0 2 2 |
| 27.1 | 60 | 0 4 1 |
| 40.1 | 100 | 2 2 0 |
| 40.4 | 58 | 2 2 -2 |

Crystal structure
```
data_Li5Al3
_chemical_formula_sum 'Li20 Al12'
_cell_length_a 4.953
_cell_length_b 14.658
_cell_length_c 7.877
_cell_angle_alpha 90.00
_cell_angle_beta 107.81
_cell_angle_gamma 90.00
_space_group_name_H-M_alt 'C 1 2 1'
_space_group_IT_number 5
_space_group_name_Hall 'C 2y'
loop_
_atom_site_label
_atom_site_type_symbol
_atom_site_fract_x
_atom_site_fract_y
_atom_site_fract_z
_atom_site_occupancy
Li1 Li 0.100 0.000 0.199 1
Li2 Li 0.100 0.339 0.200 1
Li3 Li 0.165 0.570 0.332 1
Li4 Li 0.166 0.769 0.333 1
Li5 Li 0.250 0.169 0.001 1
Al1 Al 0.000 0.421 0.500 1
Al2 Al 0.000 0.488 0.000 1
Al3 Al 0.000 0.851 0.000 1
Al4 Al 0.000 0.918 0.500 1
Al5 Al 0.180 0.169 0.366 1
```



# 4
Starting from a structure optimized by DFT (PBE), the powder X-ray diffraction pattern of Ca2Mg6CdGa was calculated for Cu Kα X-rays.
Intensities are scaled so that the largest is 100.

Peak list (6 most intense, 2θ from 15° to 90°, low angle first)
| Position (°2θ) | I_rel | h k l |
| --- | --- | --- |
| 19.2 | 86 | 1 1 1 |
| 21.9 | 55 | 2 0 0 |
| 31.8 | 76 | 0 2 2 |
| 36.8 | 100 | 0 4 0 |
| 38.9 | 39 | 2 2 2 |
| 45.5 | 35 | 3 3 1 |

Crystal structure
```
data_Ca2Mg6CdGa
_chemical_formula_sum 'Ca4 Mg12 Cd2 Ga2'
_cell_length_a 8.109
_cell_length_b 9.772
_cell_length_c 6.892
_cell_angle_alpha 90.00
_cell_angle_beta 90.00
_cell_angle_gamma 90.00
_space_group_name_H-M_alt 'P m m n'
_space_group_IT_number 59
loop_
_space_group_symop_operation_xyz
'x,y,z'
'-x,-y,-z'
'-x+1/2,-y+1/2,z'
'x+1/2,y+1/2,-z'
'x+1/2,-y,-z'
'-x+1/2,y,z'
'-x,y+1/2,-z'
'x,-y+1/2,z'
loop_
_atom_site_label
_atom_site_type_symbol
_atom_site_fract_x
_atom_site_fract_y
_atom_site_fract_z
_atom_site_occupancy
Ca1 Ca 0.250 0.012 0.238 1
Mg1 Mg 0.065 0.250 0.911 1
Mg2 Mg 0.068 0.750 0.544 1
Mg3 Mg 0.250 0.002 0.730 1
Cd1 Cd 0.250 0.750 0.935 1
Ga1 Ga 0.250 0.250 0.543 1
```